Diffraction record for Zn4B6SO12. The powder diffraction line list is calculated, not measured: it uses DFT lattice parameters and positions (GGA-PBE) and Cu Kα (weighted mean of Kα1 and Kα2).
Intensities are scaled so that the largest is 100.

Cell and atoms:
Lattice parameters (Å, degrees): 7.633 7.633 7.633 90.00 90.00 90.00
Space group I-43m (No. 217)
Asymmetric unit:
Zn 0.170 0.170 0.830 [8 per cell]
B 0.000 0.250 0.500 [12 per cell]
S 0.000 0.000 0.000 [2 per cell]
O 0.075 0.357 0.357 [24 per cell]

Principal peaks in the range 2θ = 10–90°, by angle:
hkl 2 1 1, 3.116 Å, 2θ 28.65, I 100
hkl 3 1 0, 2.414 Å, 2θ 37.25, I 15
hkl 3 2 1, 2.040 Å, 2θ 44.41, I 12
hkl 3 3 0, 1.799 Å, 2θ 50.75, I 61
hkl 4 2 2, 1.558 Å, 2θ 59.31, I 11
hkl 6 0 0, 1.272 Å, 2θ 74.60, I 11